[1]
For Na3Co6AgP8O28, a cell relaxed with GGA+U gives the calculated PXRD pattern in this record (Cu Kα, 1.54184 Å).
Intensities are scaled so that the largest is 100.

Principal peaks in the range 10° ≤ 2θ ≤ 90°, low angle first:
(0 0 2), 8.090 Å, intensity 25
(-1 1 2), 3.192 Å, intensity 20
(1 2 2), 3.019 Å, intensity 100
(0 2 -1), 2.934 Å, intensity 18
(-1 1 3), 2.920 Å, intensity 27
(1 0 5), 2.874 Å, intensity 81
(1 2 4), 2.670 Å, intensity 35
(2 1 0), 2.636 Å, intensity 23

Cell and atoms:
```
data_Na3Co6AgP8O28
_cell_length_a 5.386
_cell_length_b 6.444
_cell_length_c 16.485
_cell_angle_alpha 80.71
_cell_angle_beta 81.57
_cell_angle_gamma 72.78
_symmetry_space_group_name_H-M 'P 1'
_symmetry_Int_Tables_number 1
_symmetry_space_group_name_Hall 'P 1'
loop_
_atom_site_label
_atom_site_type_symbol
_atom_site_fract_x
_atom_site_fract_y
_atom_site_fract_z
Na1 Na 0.000 0.000 0.000
Na2 Na 0.187 0.507 0.961
Na3 Na 0.479 0.979 0.120
Co1 Co 0.054 0.618 0.177
Co2 Co 0.129 0.889 0.785
Co3 Co 0.297 0.532 0.570
Co4 Co 0.323 0.214 0.322
Co5 Co 0.862 0.292 0.640
Co6 Co 0.888 0.974 0.392
Ag1 Ag 0.702 0.525 0.843
P1 P 0.282 0.351 0.763
P2 P 0.388 0.035 0.523
P3 P 0.450 0.680 0.304
P4 P 0.526 0.003 0.899
P5 P 0.659 0.505 0.064
P6 P 0.736 0.826 0.658
P7 P 0.798 0.472 0.439
P8 P 0.904 0.155 0.198
O1 O 0.037 0.951 0.155
O2 O 0.083 0.226 0.757
O3 O 0.105 0.280 0.203
O4 O 0.150 0.556 0.807
O5 O 0.212 0.239 0.562
O6 O 0.257 0.853 0.531
O7 O 0.266 0.906 0.323
O8 O 0.296 0.541 0.277
O9 O 0.361 0.857 0.883
O10 O 0.363 0.610 0.071
O11 O 0.416 0.106 0.978
O12 O 0.449 0.391 0.682
O13 O 0.496 0.806 0.715
O14 O 0.497 0.205 0.823
O15 O 0.504 0.095 0.434
O16 O 0.535 0.552 0.393
O17 O 0.651 0.954 0.569
O18 O 0.682 0.411 0.528
O19 O 0.686 0.703 0.246
O20 O 0.687 0.300 0.139
O21 O 0.737 0.116 0.280
O22 O 0.773 0.396 0.985
O23 O 0.820 0.653 0.079
O24 O 0.823 0.899 0.891
O25 O 0.889 0.966 0.685
O26 O 0.919 0.601 0.639
O27 O 0.928 0.653 0.430
O28 O 0.973 0.267 0.400
```

[2]
For Co3Ag2P4O14, a cell relaxed with GGA+U gives the calculated PXRD pattern in this record (Cu Kα, 1.54184 Å).
Intensities are scaled so that the largest is 100.

Principal peaks in the range 10° ≤ 2θ ≤ 90°, low angle first:
(0 2 0), 3.056 Å, intensity 20
(1 0 -5), 3.025 Å, intensity 50
(1 0 4), 2.944 Å, intensity 100
(1 1 -4), 2.920 Å, intensity 21
(1 -2 3), 2.689 Å, intensity 18
(-2 1 2), 2.635 Å, intensity 29
(-1 1 6), 2.449 Å, intensity 17
(2 1 -9), 1.543 Å, intensity 15

Cell and atoms:
```
data_Co3Ag2P4O14
_cell_length_a 5.406
_cell_length_b 6.438
_cell_length_c 16.774
_cell_angle_alpha 93.92
_cell_angle_beta 98.90
_cell_angle_gamma 106.99
_symmetry_space_group_name_H-M 'P -1'
_symmetry_Int_Tables_number 2
_symmetry_space_group_name_Hall '-P 1'
loop_
_atom_site_label
_atom_site_type_symbol
_atom_site_fract_x
_atom_site_fract_y
_atom_site_fract_z
Co1 Co 0.083 0.041 0.346
Co2 Co 0.286 0.718 0.592
Co3 Co 0.332 0.361 0.799
Ag1 Ag 0.020 0.257 0.129
Ag2 Ag 0.409 0.266 0.020
P1 P 0.163 0.757 0.090
P2 P 0.190 0.576 0.326
P3 P 0.343 0.221 0.543
P4 P 0.462 0.900 0.778
O1 O 0.011 0.716 0.298
O2 O 0.024 0.349 0.344
O3 O 0.127 0.340 0.904
O4 O 0.202 0.015 0.580
O5 O 0.209 0.862 0.012
O6 O 0.226 0.405 0.553
O7 O 0.261 0.028 0.774
O8 O 0.265 0.957 0.164
O9 O 0.329 0.601 0.107
O10 O 0.351 0.703 0.414
O11 O 0.364 0.693 0.820
O12 O 0.367 0.161 0.454
O13 O 0.379 0.557 0.271
O14 O 0.448 0.139 0.302
```

[3]
For CoAgPO4, a cell relaxed with GGA+U gives the calculated PXRD pattern in this record (Cu Kα, 1.54184 Å).
Intensities are scaled so that the largest is 100.

Principal peaks in the range 10° ≤ 2θ ≤ 90°, low angle first:
(0 0 3), 3.032 Å, intensity 33
(0 2 2), 2.904 Å, intensity 97
(1 0 3), 2.846 Å, intensity 46
(0 2 -1), 2.796 Å, intensity 28
(2 1 1), 2.781 Å, intensity 100
(1 2 -1), 2.601 Å, intensity 38
(1 0 -3), 2.509 Å, intensity 35
(4 1 1), 1.432 Å, intensity 19

Cell and atoms:
```
data_CoAgPO4
_cell_length_a 5.735
_cell_length_b 6.591
_cell_length_c 9.495
_cell_angle_alpha 75.68
_cell_angle_beta 78.99
_cell_angle_gamma 78.47
_symmetry_space_group_name_H-M 'P 1'
_symmetry_Int_Tables_number 1
_symmetry_space_group_name_Hall 'P 1'
loop_
_atom_site_label
_atom_site_type_symbol
_atom_site_fract_x
_atom_site_fract_y
_atom_site_fract_z
Co1 Co 0.000 0.000 0.000
Co2 Co 0.114 0.103 0.349
Co3 Co 0.544 0.762 0.217
Co4 Co 0.658 0.874 0.566
Ag1 Ag 0.011 0.332 0.658
Ag2 Ag 0.149 0.470 0.013
Ag3 Ag 0.511 0.404 0.553
Ag4 Ag 0.648 0.547 0.908
P1 P 0.008 0.652 0.312
P2 P 0.142 0.811 0.683
P3 P 0.519 0.071 0.879
P4 P 0.654 0.216 0.252
O1 O 0.090 0.415 0.361
O2 O 0.092 0.838 0.843
O3 O 0.128 0.029 0.570
O4 O 0.191 0.783 0.335
O5 O 0.256 0.195 0.908
O6 O 0.404 0.685 0.654
O7 O 0.468 0.088 0.230
O8 O 0.535 0.853 0.992
O9 O 0.572 0.044 0.719
O10 O 0.575 0.455 0.200
O11 O 0.691 0.158 0.419
O12 O 0.707 0.197 0.904
O13 O 0.749 0.724 0.394
O14 O 0.914 0.144 0.172
O15 O 0.955 0.685 0.659
O16 O 0.971 0.716 0.145
```